Starting from the PBE geometry in Alexandria, the powder diffractogram of S was calculated for Cu Ka.
Intensities are scaled so that the largest is 100.

Largest 8 diffraction maxima, in order of rising 2θ, 10° ≤ 2θ ≤ 90°:
- hkl 1 0 1, 17.3 deg, I = 100
- hkl 0 1 3, 19.1 deg, I = 31
- hkl 0 2 2, 21.8 deg, I = 48
- hkl 1 1 2, 21.9 deg, I = 24
- hkl 1 0 3, 23.4 deg, I = 27
- hkl 1 2 0, 24.9 deg, I = 30
- hkl 1 1 3, 25.3 deg, I = 56
- hkl 0 4 4, 44.4 deg, I = 24

```
data_S
_chemical_formula_sum 'S24'
_space_group_name_H-M_alt 'P n n m'
_space_group_IT_number 58
_cell_length_a 5.4201
_cell_length_b 9.4930
_cell_length_c 15.9348
_cell_angle_alpha 90.00
_cell_angle_beta 90.00
_cell_angle_gamma 90.00
loop_
_space_group_symop_operation_xyz
'x,y,z'
'-x,-y,-z'
'-x,-y,z'
'x,y,-z'
'x+1/2,-y+1/2,-z+1/2'
'-x+1/2,y+1/2,z+1/2'
'-x+1/2,y+1/2,-z+1/2'
'x+1/2,-y+1/2,z+1/2'
loop_
_atom_site_label
_atom_site_fract_x
_atom_site_fract_y
_atom_site_fract_z
_atom_site_occupancy
S1 0.0000 0.0000 0.2132 1
S2 0.0221 0.3048 0.1061 1
S3 0.1979 0.8655 0.1367 1
S4 0.2224 0.2549 0.0000 1
```

---

Starting from the PBE geometry in Alexandria, the powder diffractogram of S was calculated for Cu Ka.
Intensities are scaled so that the largest is 100.

Largest 8 diffraction maxima, in order of rising 2θ, 10° ≤ 2θ ≤ 90°:
- hkl 1 1 0, 22.1 deg, I = 100
- hkl 0 0 1, 35.5 deg, I = 20
- hkl 0 4 0, 37.8 deg, I = 13
- hkl 2 0 0, 40.7 deg, I = 13
- hkl 1 1 1, 42.3 deg, I = 29
- hkl 1 5 0, 52.2 deg, I = 11
- hkl 2 0 1, 55.1 deg, I = 10
- hkl 1 5 1, 64.8 deg, I = 12

```
data_S
_chemical_formula_sum 'S4'
_space_group_name_H-M_alt 'C m m m'
_space_group_IT_number 65
_space_group_name_Hall '-C 2 2'
_cell_length_a 4.4312
_cell_length_b 9.5320
_cell_length_c 2.5255
_cell_angle_alpha 90.00
_cell_angle_beta 90.00
_cell_angle_gamma 90.00
loop_
_atom_site_label
_atom_site_fract_x
_atom_site_fract_y
_atom_site_fract_z
_atom_site_occupancy
S1 0.0000 0.1052 0.0000 1
```

---

Starting from the PBE geometry in Alexandria, the powder diffractogram of S was calculated for Cu Ka.
Intensities are scaled so that the largest is 100.

Largest 8 diffraction maxima, in order of rising 2θ, 10° ≤ 2θ ≤ 90°:
- hkl 1 1 0, 20.7 deg, I = 100
- hkl 1 1 1, 29.0 deg, I = 38
- hkl 2 0 1, 31.5 deg, I = 14
- hkl 0 3 1, 41.8 deg, I = 16
- hkl 2 2 1, 47.0 deg, I = 10
- hkl 3 1 1, 48.7 deg, I = 14
- hkl 2 1 2, 52.7 deg, I = 14
- hkl 1 0 3, 64.6 deg, I = 6

```
data_S
_chemical_formula_sum 'S9'
_space_group_name_H-M_alt 'P 32 2 1'
_space_group_IT_number 154
_cell_length_a 8.5966
_cell_length_b 8.5966
_cell_length_c 4.4091
_cell_angle_alpha 90.00
_cell_angle_beta 90.00
_cell_angle_gamma 120.00
loop_
_space_group_symop_operation_xyz
'x,y,z'
'-y,x-y,z+2/3'
'-x+y,-x,z+1/3'
'y,x,-z'
'x-y,-y,-z+1/3'
'-x,-x+y,-z+2/3'
loop_
_atom_site_label
_atom_site_fract_x
_atom_site_fract_y
_atom_site_fract_z
_atom_site_occupancy
S1 0.0000 0.9019 0.3333 1
S2 0.2477 0.5601 0.5598 1
```

---

Starting from the PBE geometry in Alexandria, the powder diffractogram of S was calculated for Cu Ka.
Intensities are scaled so that the largest is 100.

Largest 8 diffraction maxima, in order of rising 2θ, 10° ≤ 2θ ≤ 90°:
- hkl 1 1 0, 13.5 deg, I = 55
- hkl 1 1 1, 16.6 deg, I = 57
- hkl 1 0 -2, 18.2 deg, I = 43
- hkl 1 0 2, 20.1 deg, I = 100
- hkl 0 1 2, 20.4 deg, I = 77
- hkl 3 1 0, 27.1 deg, I = 49
- hkl 2 2 -1, 27.9 deg, I = 29
- hkl 2 2 1, 29.2 deg, I = 93

```
data_S
_chemical_formula_sum 'S28'
_space_group_name_H-M_alt 'P 1 21/c 1'
_space_group_IT_number 14
_cell_length_a 10.8394
_cell_length_b 8.2947
_cell_length_c 10.3190
_cell_angle_alpha 90.00
_cell_angle_beta 97.19
_cell_angle_gamma 90.00
loop_
_space_group_symop_operation_xyz
'x,y,z'
'-x,-y,-z'
'-x,y+1/2,-z+1/2'
'x,-y+1/2,z+1/2'
loop_
_atom_site_label
_atom_site_fract_x
_atom_site_fract_y
_atom_site_fract_z
_atom_site_occupancy
S1 0.0513 0.1221 0.3308 1
S2 0.1268 0.1889 0.9415 1
S3 0.1785 0.5692 0.8877 1
S4 0.2763 0.6061 0.7409 1
S5 0.2766 0.1096 0.8566 1
S6 0.4131 0.2096 0.4132 1
S7 0.4291 0.0761 0.2571 1
```

---

Starting from the PBE geometry in Alexandria, the powder diffractogram of S was calculated for Cu Ka.
Intensities are scaled so that the largest is 100.

Largest 8 diffraction maxima, in order of rising 2θ, 10° ≤ 2θ ≤ 90°:
- hkl 1 0 1, 17.2 deg, I = 93
- hkl 0 1 3, 20.0 deg, I = 65
- hkl 1 1 -2, 20.1 deg, I = 54
- hkl 1 0 -3, 20.9 deg, I = 100
- hkl 1 -2 1, 21.5 deg, I = 73
- hkl 0 0 4, 22.8 deg, I = 36
- hkl 0 3 -1, 25.7 deg, I = 36
- hkl 0 2 -4, 26.9 deg, I = 30

```
data_S
_chemical_formula_sum 'S28'
_space_group_name_H-M_alt 'P -1'
_space_group_IT_number 2
_cell_length_a 5.9850
_cell_length_b 10.6523
_cell_length_c 15.9096
_cell_angle_alpha 95.22
_cell_angle_beta 98.95
_cell_angle_gamma 100.52
loop_
_space_group_symop_operation_xyz
'x,y,z'
'-x,-y,-z'
loop_
_atom_site_label
_atom_site_fract_x
_atom_site_fract_y
_atom_site_fract_z
_atom_site_occupancy
S1 0.0068 0.3922 0.3658 1
S2 0.0147 0.8455 0.2249 1
S3 0.0472 0.9450 0.1206 1
S4 0.0618 0.0405 0.6758 1
S5 0.1763 0.5725 0.3481 1
S6 0.1783 0.3711 0.0889 1
S7 0.2129 0.3300 0.4634 1
S8 0.2286 0.0224 0.4179 1
S9 0.3058 0.5571 0.1474 1
S10 0.3887 0.2062 0.4052 1
S11 0.3916 0.9935 0.1100 1
S12 0.4299 0.5560 0.2758 1
S13 0.4587 0.2946 0.0648 1
S14 0.4697 0.8183 0.8392 1
```

---

Starting from the PBE geometry in Alexandria, the powder diffractogram of S was calculated for Cu Ka.
Intensities are scaled so that the largest is 100.

Largest 8 diffraction maxima, in order of rising 2θ, 10° ≤ 2θ ≤ 90°:
- hkl 1 0 0, 10.2 deg, I = 100
- hkl 0 0 1, 17.5 deg, I = 67
- hkl 1 0 1, 20.3 deg, I = 27
- hkl 2 0 0, 20.5 deg, I = 18
- hkl 2 1 0, 23.0 deg, I = 32
- hkl 2 0 1, 27.1 deg, I = 18
- hkl 2 1 1, 29.0 deg, I = 24
- hkl 2 2 1, 34.2 deg, I = 13

```
data_S
_chemical_formula_sum 'S8'
_space_group_name_H-M_alt 'P 4 m m'
_space_group_IT_number 99
_cell_length_a 8.6651
_cell_length_b 8.6651
_cell_length_c 5.0793
_cell_angle_alpha 90.00
_cell_angle_beta 90.00
_cell_angle_gamma 90.00
loop_
_space_group_symop_operation_xyz
'x,y,z'
'-y,x,z'
'-x,-y,z'
'y,-x,z'
'-x,y,z'
'y,x,z'
'x,-y,z'
'-y,-x,z'
loop_
_atom_site_label
_atom_site_fract_x
_atom_site_fract_y
_atom_site_fract_z
_atom_site_occupancy
S1 0.0000 0.2743 0.0000 1
S2 0.1942 0.1942 0.1902 1
```

---

Starting from the PBE geometry in Alexandria, the powder diffractogram of S was calculated for Cu Ka.
Intensities are scaled so that the largest is 100.

Largest 8 diffraction maxima, in order of rising 2θ, 10° ≤ 2θ ≤ 90°:
- hkl 1 1 0, 14.2 deg, I = 69
- hkl 2 0 0, 16.0 deg, I = 51
- hkl 1 1 1, 19.0 deg, I = 53
- hkl 1 1 -2, 26.8 deg, I = 100
- hkl 2 0 -2, 27.1 deg, I = 28
- hkl 2 0 2, 30.1 deg, I = 20
- hkl 3 1 1, 30.5 deg, I = 41
- hkl 1 3 2, 44.5 deg, I = 21

```
data_S
_chemical_formula_sum 'S20'
_space_group_name_H-M_alt 'C 1 2/c 1'
_space_group_IT_number 15
_cell_length_a 11.1579
_cell_length_b 7.5414
_cell_length_c 7.5915
_cell_angle_alpha 90.00
_cell_angle_beta 96.43
_cell_angle_gamma 90.00
loop_
_space_group_symop_operation_xyz
'x,y,z'
'-x,-y,-z'
'-x,y,-z+1/2'
'x,-y,z+1/2'
'x+1/2,y+1/2,z'
'-x+1/2,-y+1/2,-z'
'-x+1/2,y+1/2,-z+1/2'
'x+1/2,-y+1/2,z+1/2'
loop_
_atom_site_label
_atom_site_fract_x
_atom_site_fract_y
_atom_site_fract_z
_atom_site_occupancy
S1 0.0000 0.1568 0.2500 1
S2 0.0699 0.3078 0.0446 1
S3 0.1414 0.4673 0.6124 1
```

---

Starting from the PBE geometry in Alexandria, the powder diffractogram of S was calculated for Cu Ka.
Intensities are scaled so that the largest is 100.

Largest 8 diffraction maxima, in order of rising 2θ, 10° ≤ 2θ ≤ 90°:
- hkl 1 1 1, 13.6 deg, I = 42
- hkl 2 1 -1, 17.5 deg, I = 82
- hkl 2 1 -2, 21.0 deg, I = 51
- hkl 0 2 2, 21.3 deg, I = 37
- hkl 2 2 -1, 21.9 deg, I = 64
- hkl 2 2 1, 23.4 deg, I = 66
- hkl 1 1 -3, 24.0 deg, I = 100
- hkl 1 1 3, 26.0 deg, I = 39

```
data_S
_chemical_formula_sum 'S48'
_space_group_name_H-M_alt 'P 1 21 1'
_space_group_IT_number 4
_cell_length_a 11.9387
_cell_length_b 11.7391
_cell_length_c 11.9647
_cell_angle_alpha 90.00
_cell_angle_beta 98.39
_cell_angle_gamma 90.00
loop_
_space_group_symop_operation_xyz
'x,y,z'
'-x,y+1/2,-z'
loop_
_atom_site_label
_atom_site_fract_x
_atom_site_fract_y
_atom_site_fract_z
_atom_site_occupancy
S1 0.0004 0.0816 0.0732 1
S2 0.0457 0.4122 0.9398 1
S3 0.0541 0.4393 0.5656 1
S4 0.0835 0.3118 0.6848 1
S5 0.1088 0.1428 0.3423 1
S6 0.1095 0.9983 0.4406 1
S7 0.1479 0.0981 0.1857 1
S8 0.1618 0.8415 0.7568 1
S9 0.1641 0.3795 0.8344 1
S10 0.1782 0.6310 0.2458 1
S11 0.2334 0.0000 0.7901 1
S12 0.2484 0.4720 0.2800 1
S13 0.2598 0.7483 0.6616 1
S14 0.2803 0.7250 0.1556 1
S15 0.3299 0.9985 0.9480 1
S16 0.3395 0.4723 0.4405 1
S17 0.3664 0.6435 0.7670 1
S18 0.3835 0.8288 0.2654 1
S19 0.4534 0.1689 0.5414 1
S20 0.4602 0.2526 0.6941 1
S21 0.4639 0.3015 0.0437 1
S22 0.4768 0.2195 0.1978 1
S23 0.4915 0.9992 0.5700 1
S24 0.4973 0.9715 0.9309 1
```

---

Starting from the PBE geometry in Alexandria, the powder diffractogram of S was calculated for Cu Ka.
Intensities are scaled so that the largest is 100.

Largest 8 diffraction maxima, in order of rising 2θ, 10° ≤ 2θ ≤ 90°:
- hkl 1 1 0, 16.0 deg, I = 12
- hkl 1 0 1, 19.0 deg, I = 100
- hkl 3 0 0, 27.9 deg, I = 17
- hkl 3 -1 1, 29.8 deg, I = 45
- hkl 2 2 0, 32.3 deg, I = 13
- hkl 1 2 2, 42.0 deg, I = 11
- hkl 5 -2 1, 44.5 deg, I = 11
- hkl 4 -1 2, 48.3 deg, I = 20

```
data_S
_chemical_formula_sum 'S18'
_space_group_name_H-M_alt 'R -3'
_space_group_IT_number 148
_space_group_name_Hall '-R 3'
_cell_length_a 11.0797
_cell_length_b 11.0797
_cell_length_c 5.3389
_cell_angle_alpha 90.00
_cell_angle_beta 90.00
_cell_angle_gamma 120.00
loop_
_atom_site_label
_atom_site_fract_x
_atom_site_fract_y
_atom_site_fract_z
_atom_site_occupancy
S1 0.0409 0.8551 0.0834 1
```

---

Starting from the PBE geometry in Alexandria, the powder diffractogram of S was calculated for Cu Ka.
Intensities are scaled so that the largest is 100.

Largest 8 diffraction maxima, in order of rising 2θ, 10° ≤ 2θ ≤ 90°:
- hkl 1 1 -1, 20.2 deg, I = 100
- hkl 0 2 0, 20.4 deg, I = 19
- hkl 0 2 1, 27.4 deg, I = 53
- hkl 1 1 -2, 33.0 deg, I = 15
- hkl 2 0 0, 34.5 deg, I = 12
- hkl 1 3 -2, 44.6 deg, I = 20
- hkl 3 1 -1, 47.1 deg, I = 12
- hkl 2 2 1, 51.8 deg, I = 10

```
data_S
_chemical_formula_sum 'S8'
_space_group_name_H-M_alt 'C 1 2/c 1'
_space_group_IT_number 15
_cell_length_a 6.0292
_cell_length_b 8.6892
_cell_length_c 5.7105
_cell_angle_alpha 90.00
_cell_angle_beta 120.38
_cell_angle_gamma 90.00
loop_
_space_group_symop_operation_xyz
'x,y,z'
'-x,-y,-z'
'-x,y,-z+1/2'
'x,-y,z+1/2'
'x+1/2,y+1/2,z'
'-x+1/2,-y+1/2,-z'
'-x+1/2,y+1/2,-z+1/2'
'x+1/2,-y+1/2,z+1/2'
loop_
_atom_site_label
_atom_site_fract_x
_atom_site_fract_y
_atom_site_fract_z
_atom_site_occupancy
S1 0.1892 0.1604 0.3406 1
```

---

Starting from the PBE geometry in Alexandria, the powder diffractogram of S was calculated for Cu Ka.
Intensities are scaled so that the largest is 100.

Largest 8 diffraction maxima, in order of rising 2θ, 10° ≤ 2θ ≤ 90°:
- hkl 1 1 0, 18.2 deg, I = 100
- hkl 0 2 0, 19.3 deg, I = 32
- hkl 1 1 1, 25.1 deg, I = 77
- hkl 0 2 1, 26.0 deg, I = 56
- hkl 2 0 1, 35.7 deg, I = 23
- hkl 1 3 1, 37.6 deg, I = 19
- hkl 1 3 2, 48.8 deg, I = 23
- hkl 2 2 2, 51.6 deg, I = 24

```
data_S
_chemical_formula_sum 'S8'
_space_group_name_H-M_alt 'C 2 2 21'
_space_group_IT_number 20
_cell_length_a 5.7637
_cell_length_b 9.1845
_cell_length_c 5.1574
_cell_angle_alpha 90.00
_cell_angle_beta 90.00
_cell_angle_gamma 90.00
loop_
_space_group_symop_operation_xyz
'x,y,z'
'-x,-y,z+1/2'
'x,-y,-z'
'-x,y,-z+1/2'
'x+1/2,y+1/2,z'
'-x+1/2,-y+1/2,z+1/2'
'x+1/2,-y+1/2,-z'
'-x+1/2,y+1/2,-z+1/2'
loop_
_atom_site_label
_atom_site_fract_x
_atom_site_fract_y
_atom_site_fract_z
_atom_site_occupancy
S1 0.1417 0.0863 0.1305 1
```

---

Starting from the PBE geometry in Alexandria, the powder diffractogram of S was calculated for Cu Ka.
Intensities are scaled so that the largest is 100.

Largest 8 diffraction maxima, in order of rising 2θ, 10° ≤ 2θ ≤ 90°:
- hkl 0 0 1, 14.9 deg, I = 52
- hkl 1 1 0, 15.7 deg, I = 100
- hkl 2 -1 1, 21.7 deg, I = 47
- hkl 0 2 1, 23.6 deg, I = 49
- hkl 2 1 0, 24.1 deg, I = 64
- hkl 2 1 1, 28.4 deg, I = 56
- hkl 0 0 2, 30.1 deg, I = 28
- hkl 1 4 0, 42.4 deg, I = 24

```
data_S
_chemical_formula_sum 'S18'
_space_group_name_H-M_alt 'P 3'
_space_group_IT_number 143
_cell_length_a 11.2876
_cell_length_b 11.2876
_cell_length_c 5.9408
_cell_angle_alpha 90.00
_cell_angle_beta 90.00
_cell_angle_gamma 120.00
loop_
_space_group_symop_operation_xyz
'x,y,z'
'-y,x-y,z'
'-x+y,-x,z'
loop_
_atom_site_label
_atom_site_fract_x
_atom_site_fract_y
_atom_site_fract_z
_atom_site_occupancy
S1 0.0119 0.2863 0.0000 1
S2 0.0539 0.2656 0.3372 1
S3 0.0766 0.4886 0.9388 1
S4 0.1559 0.7462 0.4018 1
S5 0.3922 0.3459 0.3406 1
S6 0.4547 0.3878 0.0035 1
```